Theoretical powder diffraction line list of MnCu2SeO6 for copper Kα, from a cell relaxed with PBE+U.

```
MnCu2SeO6
1.0
4.9554 -4.4711 0.0000
4.9554 4.4711 0.0000
-0.8654 0.0000 5.1005
Mn Cu Se O
2 4 2 12
direct
0.0868 0.9132 0.7500
0.9132 0.0868 0.2500
0.2056 0.4045 0.6823
0.4045 0.2056 0.1823
0.5955 0.7944 0.8177
0.7944 0.5955 0.3177
0.2791 0.7209 0.2500
0.7209 0.2791 0.7500
0.0306 0.1862 0.6094
0.1453 0.6539 0.9041
0.1862 0.0306 0.1094
0.2803 0.4761 0.3414
0.3461 0.8547 0.5959
0.4761 0.2803 0.8414
0.5239 0.7197 0.1586
0.6539 0.1453 0.4041
0.7197 0.5239 0.6586
0.8138 0.9694 0.8906
0.8547 0.3461 0.0959
0.9694 0.8138 0.3906
```

Most intense lines, 15 to 90 degrees two-theta, sorted by position:
2θ 29.18, I = 684
2θ 30.57, I = 616
2θ 31.64, I = 493
2θ 33.99, I = 1000
2θ 35.19, I = 558
2θ 35.31, I = 982